Record 1
Theoretical PXRD pattern of CaY5Ho6 for Cu Kα (weighted mean of Kα1 and Kα2), from a DFT-relaxed cell (PBE, Alexandria).
No peak broadening, texture or thermal motion is included.

Crystal structure
Unit cell a=6.182 b=6.182 c=11.823 alpha=95.01 beta=95.01 gamma=119.99
Fractional coordinates of all 12 atoms:
1 Ca 0.000 0.000 0.000
2 Y 0.166 0.834 0.500
3 Y 0.333 0.667 0.000
4 Y 0.500 0.500 0.500
5 Y 0.667 0.333 0.000
6 Y 0.834 0.166 0.500
7 Ho 0.085 0.424 0.253
8 Ho 0.254 0.254 0.747
9 Ho 0.424 0.085 0.253
10 Ho 0.576 0.915 0.747
11 Ho 0.746 0.746 0.253
12 Ho 0.915 0.576 0.747

Peak list (10 most intense, 5° ≤ 2θ ≤ 70°, low angle first)
| 2θ/deg | I_rel |
| --- | --- |
| 15.22 | 13 |
| 29.34 | 9 |
| 30.69 | 100 |
| 35.59 | 50 |
| 38.91 | 4 |
| 46.80 | 3 |
| 51.21 | 35 |
| 53.72 | 3 |
| 60.89 | 42 |
| 63.89 | 9 |

---

Record 2
Theoretical PXRD pattern of CaYHo14 for Cu Kα (weighted mean of Kα1 and Kα2), from a DFT-relaxed cell (PBE, Alexandria).
No peak broadening, texture or thermal motion is included.

Crystal structure
Unit cell a=11.243 b=7.235 c=7.235 alpha=59.99 beta=90.00 gamma=90.00
Fractional coordinates of all 16 atoms:
1 Ca 0.000 0.000 0.000
2 Y 0.000 0.499 0.499
3 Ho 0.000 0.001 0.499
4 Ho 0.000 0.499 0.001
5 Ho 0.248 0.333 0.333
6 Ho 0.253 0.831 0.831
7 Ho 0.255 0.337 0.831
8 Ho 0.255 0.831 0.337
9 Ho 0.500 0.000 0.000
10 Ho 0.500 0.500 0.500
11 Ho 0.500 0.500 0.999
12 Ho 0.500 0.999 0.500
13 Ho 0.745 0.337 0.831
14 Ho 0.745 0.831 0.337
15 Ho 0.747 0.831 0.831
16 Ho 0.752 0.333 0.333

Peak list (10 most intense, 5° ≤ 2θ ≤ 70°, low angle first)
| 2θ/deg | I_rel |
| --- | --- |
| 7.86 | 4 |
| 28.49 | 24 |
| 31.84 | 24 |
| 32.72 | 100 |
| 43.24 | 16 |
| 50.46 | 20 |
| 57.29 | 20 |
| 60.91 | 22 |
| 61.45 | 16 |
| 68.59 | 4 |

---

Record 3
Theoretical PXRD pattern of CaY12Ho5 for Cu Kα (weighted mean of Kα1 and Kα2), from a DFT-relaxed cell (PBE, Alexandria).
No peak broadening, texture or thermal motion is included.

Crystal structure
Unit cell a=10.737 b=10.737 c=5.050 alpha=90.00 beta=90.00 gamma=90.12
Fractional coordinates of all 18 atoms:
1 Ca 0.000 0.000 0.000
2 Y 0.001 0.663 0.000
3 Y 0.167 0.501 0.500
4 Y 0.171 0.171 0.500
5 Y 0.334 0.334 0.000
6 Y 0.337 0.999 0.000
7 Y 0.499 0.833 0.500
8 Y 0.501 0.167 0.500
9 Y 0.663 0.001 0.000
10 Y 0.666 0.666 0.000
11 Y 0.829 0.829 0.500
12 Y 0.833 0.499 0.500
13 Y 0.999 0.337 0.000
14 Ho 0.174 0.826 0.500
15 Ho 0.334 0.666 0.000
16 Ho 0.500 0.500 0.500
17 Ho 0.666 0.334 0.000
18 Ho 0.826 0.174 0.500

Peak list (10 most intense, 5° ≤ 2θ ≤ 70°, low angle first)
| 2θ/deg | I_rel |
| --- | --- |
| 8.24 | 5 |
| 11.66 | 7 |
| 25.59 | 4 |
| 30.62 | 100 |
| 35.47 | 33 |
| 35.55 | 17 |
| 51.08 | 35 |
| 60.70 | 27 |
| 60.81 | 14 |
| 63.75 | 12 |

---

Record 4
Theoretical PXRD pattern of Ca3HoZn8 for Cu Kα (weighted mean of Kα1 and Kα2), from a DFT-relaxed cell (PBE, Alexandria).
No peak broadening, texture or thermal motion is included.

Crystal structure
Unit cell a=9.569 b=9.569 c=9.569 alpha=33.58 beta=33.58 gamma=33.58
Fractional coordinates of all 12 atoms:
1 Ca 0.000 0.000 0.000
2 Ca 0.126 0.126 0.126
3 Ca 0.626 0.626 0.626
4 Ho 0.501 0.501 0.501
5 Zn 0.062 0.062 0.562
6 Zn 0.062 0.562 0.062
7 Zn 0.066 0.563 0.563
8 Zn 0.313 0.313 0.313
9 Zn 0.562 0.062 0.062
10 Zn 0.563 0.066 0.563
11 Zn 0.563 0.563 0.066
12 Zn 0.813 0.813 0.813

Peak list (10 most intense, 5° ≤ 2θ ≤ 70°, low angle first)
| 2θ/deg | I_rel |
| --- | --- |
| 9.80 | 13 |
| 18.82 | 8 |
| 19.67 | 10 |
| 22.75 | 5 |
| 32.40 | 27 |
| 38.19 | 100 |
| 39.95 | 40 |
| 57.78 | 10 |
| 61.66 | 31 |
| 67.82 | 25 |

---

Please write out number 1 again, unchanged.
Theoretical PXRD pattern of CaY5Ho6 for Cu Kα (weighted mean of Kα1 and Kα2), from a DFT-relaxed cell (PBE, Alexandria).
No peak broadening, texture or thermal motion is included.

Crystal structure
Unit cell a=6.182 b=6.182 c=11.823 alpha=95.01 beta=95.01 gamma=119.99
Fractional coordinates of all 12 atoms:
1 Ca 0.000 0.000 0.000
2 Y 0.166 0.834 0.500
3 Y 0.333 0.667 0.000
4 Y 0.500 0.500 0.500
5 Y 0.667 0.333 0.000
6 Y 0.834 0.166 0.500
7 Ho 0.085 0.424 0.253
8 Ho 0.254 0.254 0.747
9 Ho 0.424 0.085 0.253
10 Ho 0.576 0.915 0.747
11 Ho 0.746 0.746 0.253
12 Ho 0.915 0.576 0.747

Peak list (10 most intense, 5° ≤ 2θ ≤ 70°, low angle first)
| 2θ/deg | I_rel |
| --- | --- |
| 15.22 | 13 |
| 29.34 | 9 |
| 30.69 | 100 |
| 35.59 | 50 |
| 38.91 | 4 |
| 46.80 | 3 |
| 51.21 | 35 |
| 53.72 | 3 |
| 60.89 | 42 |
| 63.89 | 9 |

---

Repeat the first record exactly.
Theoretical PXRD pattern of CaY5Ho6 for Cu Kα (weighted mean of Kα1 and Kα2), from a DFT-relaxed cell (PBE, Alexandria).
No peak broadening, texture or thermal motion is included.

Crystal structure
Unit cell a=6.182 b=6.182 c=11.823 alpha=95.01 beta=95.01 gamma=119.99
Fractional coordinates of all 12 atoms:
1 Ca 0.000 0.000 0.000
2 Y 0.166 0.834 0.500
3 Y 0.333 0.667 0.000
4 Y 0.500 0.500 0.500
5 Y 0.667 0.333 0.000
6 Y 0.834 0.166 0.500
7 Ho 0.085 0.424 0.253
8 Ho 0.254 0.254 0.747
9 Ho 0.424 0.085 0.253
10 Ho 0.576 0.915 0.747
11 Ho 0.746 0.746 0.253
12 Ho 0.915 0.576 0.747

Peak list (10 most intense, 5° ≤ 2θ ≤ 70°, low angle first)
| 2θ/deg | I_rel |
| --- | --- |
| 15.22 | 13 |
| 29.34 | 9 |
| 30.69 | 100 |
| 35.59 | 50 |
| 38.91 | 4 |
| 46.80 | 3 |
| 51.21 | 35 |
| 53.72 | 3 |
| 60.89 | 42 |
| 63.89 | 9 |